1.
Na4TiZnSi2SO12: theoretical X-ray diffraction stick pattern (Cu Ka), based on a cell relaxed with PBE.
Neutral-atom scattering factors, no anomalous dispersion.

Structure:
```
Na4TiZnSi2SO12
1.0
7.7660 -4.5640 0.0000
7.7660 4.5640 0.0000
-5.1671 0.0000 7.4469
Na Ti Zn Si S O
8 2 2 4 2 24
Cartesian
5.1825 4.0188 3.7234
6.1489 2.2078 0.8822
2.0079 0.6459 5.4621
4.5915 -0.6459 1.7386
8.4932 1.0457 2.5610
3.5654 -2.2078 4.6056
5.9096 -1.0457 6.2844
7.7660 -4.0188 0.0000
2.9359 2.0732 1.8470
0.3524 -2.0732 5.5704
3.9723 2.2716 7.1402
6.5559 -2.2716 3.4167
-1.8273 0.4240 6.4199
0.7562 -0.4240 2.6965
5.2030 0.9740 4.2468
7.7865 -0.9740 0.5234
11.9262 0.8982 1.1391
9.3426 -0.8982 4.8625
-0.5373 0.4773 2.9495
2.0937 3.0829 6.1210
3.7921 1.3094 0.3383
-3.1209 -0.4773 6.6730
2.1080 0.5767 2.4752
4.6386 1.7868 2.8818
8.2648 3.1310 1.4621
-0.4755 -0.5767 6.1987
4.2615 1.1768 5.5307
1.2086 -1.3094 4.0617
7.8420 0.6274 0.2494
6.7177 1.6850 4.5828
10.5567 1.4354 0.9842
5.2585 -0.6274 3.9728
2.0551 -1.7868 6.6053
6.8451 -1.1768 1.8073
7.6135 1.2088 7.3990
4.6772 -3.0829 2.3976
9.3312 0.6043 4.9793
9.3012 -1.6850 0.8594
7.9731 -1.4354 4.7076
11.9147 -0.6043 1.2558
5.6813 -3.1310 5.1856
10.1971 -1.2088 3.6756
```

Top 10 peaks for 15 to 90 degrees two-theta, in order of falling intensity:
34.06 deg, I 100; 31.19 deg, I 62; 31.45 deg, I 59; 31.30 deg, I 56; 19.71 deg, I 48; 30.23 deg, I 47; 22.92 deg, I 44; 19.47 deg, I 39; 19.59 deg, I 28; 47.16 deg, I 27

=====

2.
KRbMg6O7: theoretical X-ray diffraction stick pattern (Cu Ka), based on a cell relaxed with PBE.
Neutral-atom scattering factors, no anomalous dispersion.

Structure:
```
KRbMg6O7
1.0
4.3035 0.0000 0.0000
0.0000 4.3035 0.0000
0.0000 0.0000 11.5014
K Rb Mg O
1 1 6 7
Cartesian
0.0000 0.0000 0.0000
2.1518 2.1518 11.1871
0.0000 0.0000 5.7046
0.0000 2.1518 3.0144
0.0000 2.1518 7.6821
2.1518 0.0000 3.0144
2.1518 0.0000 7.6821
2.1518 2.1518 5.4887
0.0000 0.0000 7.8054
0.0000 2.1518 1.1644
0.0000 2.1518 5.6054
2.1518 0.0000 1.1644
2.1518 0.0000 5.6054
2.1518 2.1518 3.4983
2.1518 2.1518 7.8086
```

Top 10 peaks for 15 to 90 degrees two-theta, in order of falling intensity:
41.99 deg, I 100; 33.31 deg, I 94; 15.41 deg, I 56; 30.38 deg, I 36; 31.10 deg, I 34; 53.18 deg, I 33; 23.20 deg, I 32; 60.89 deg, I 29; 49.68 deg, I 24; 43.29 deg, I 23

=====

3.
AgOsN2O3: theoretical X-ray diffraction stick pattern (Cu Ka), based on a cell relaxed with PBE.
Neutral-atom scattering factors, no anomalous dispersion.

Structure:
```
AgOsN2O3
1.0
9.3817 -3.0976 0.0000
9.3817 3.0976 0.0000
-1.0280 0.0000 8.5412
Ag Os N O
4 4 8 12
Cartesian
0.0000 0.0000 0.0000
2.8620 -0.0916 5.8955
9.3817 -0.0355 0.0000
14.8735 -0.0916 2.6458
3.4673 0.0292 1.5281
6.7644 -0.0716 4.2440
10.9711 -0.0716 4.2972
14.2682 0.0292 7.0131
-0.1874 -0.0161 2.1427
4.4370 1.4420 1.5501
5.1429 -0.0062 4.7629
7.2948 -0.0031 0.1878
13.2985 1.4420 6.9911
10.4407 -0.0031 8.3534
12.5927 -0.0062 3.7784
17.9229 -0.0161 6.3986
2.3718 0.1049 0.1183
2.5228 0.0000 3.0007
7.0517 1.3696 3.2506
10.6839 1.3696 5.2907
7.8034 -0.0871 5.6666
4.5121 -1.3844 1.4542
9.9321 -0.0871 2.8746
6.9456 -1.5451 3.2690
15.2128 0.0000 5.5406
15.3637 0.1049 8.4229
10.7899 -1.5451 5.2722
13.2235 -1.3844 7.0870
```

Top 10 peaks for 15 to 90 degrees two-theta, in order of falling intensity:
27.94 deg, I 100; 26.25 deg, I 89; 28.82 deg, I 86; 21.83 deg, I 73; 17.99 deg, I 65; 22.81 deg, I 49; 30.42 deg, I 48; 26.58 deg, I 28; 20.25 deg, I 26; 48.80 deg, I 26

=====

4.
CeAgSb2: theoretical X-ray diffraction stick pattern (Cu Ka), based on a cell relaxed with PBE.
Neutral-atom scattering factors, no anomalous dispersion.

Structure:
```
CeAgSb2
1.0
4.4100 0.0000 0.0000
0.0000 4.4100 0.0000
0.0000 0.0000 10.4975
Ce Ag Sb
2 2 4
Cartesian
1.1025 1.1025 2.4699
3.3075 3.3075 8.0276
1.1025 3.3075 5.2487
3.3075 1.1025 5.2487
1.1025 1.1025 7.1589
1.1025 3.3075 0.0000
3.3075 1.1025 0.0000
3.3075 3.3075 3.3386
```

Top 10 peaks for 15 to 90 degrees two-theta, in order of falling intensity:
33.42 deg, I 100; 40.93 deg, I 34; 69.78 deg, I 23; 54.34 deg, I 14; 34.17 deg, I 14; 26.40 deg, I 12; 59.27 deg, I 11; 39.98 deg, I 9; 70.22 deg, I 7; 47.99 deg, I 6